Calculated powder diffraction line list of PdS for Cu Ka, from a cell relaxed with PBE.
Intensities are scaled so that the largest is 1000.

Crystal structure
```
data_PdS
_chemical_formula_sum 'Pd8 S8'
_cell_length_a 6.524
_cell_length_b 6.524
_cell_length_c 6.688
_cell_angle_alpha 90.00
_cell_angle_beta 90.00
_cell_angle_gamma 90.00
_space_group_name_H-M_alt 'P 42/m'
_space_group_IT_number 84
loop_
_space_group_symop_operation_xyz
'x,y,z'
'-x,-y,-z'
'-y,x,z+1/2'
'y,-x,-z+1/2'
'-x,-y,z'
'x,y,-z'
'y,-x,z+1/2'
'-y,x,-z+1/2'
loop_
_atom_site_label
_atom_site_fract_x
_atom_site_fract_y
_atom_site_fract_z
Pd1 0.000 0.000 0.250
Pd2 0.000 0.500 0.000
Pd3 0.258 0.530 0.500
S1 0.193 0.307 0.228
```

Principal peaks in the range 5° ≤ 2θ ≤ 70°, low angle first:
d_spacing	I/Imax	hkl
2.976	680	1 0 2
2.932	588	2 0 1
2.918	615	1 2 0
2.707	396	1 1 2
2.674	1000	1 2 1
1.899	273	2 2 2
1.771	337	1 2 3
1.756	447	3 1 2
1.747	229	2 3 1
1.631	202	4 0 0